Starting from the GGA-PBE geometry in Alexandria, the X-ray diffraction stick pattern of Sm8Y5In was simulated for Cu Kα, 1.54184 Å.
Neutral-atom scattering factors, no anomalous dispersion.

Principal peaks in the range 2θ from 10° to 90°, in order of falling intensity:
Position (°2θ)  I_rel
32.20  100
31.86  94
33.05  86
26.84  78
27.55  52
11.71  31
34.30  31
33.79  27

Atomic structure:
```
14
Lattice="-5.263 5.424 4.203 5.263 -5.424 4.203 5.263 5.424 -4.203" Properties=species:S:1:pos:R:3 pbc="T T T"
Sm 0.000 1.714 0.000
Sm 3.560 5.424 -1.270
Sm 1.704 0.000 2.933
Sm 3.280 2.948 1.462
Sm 7.247 2.948 1.462
Sm 0.000 9.135 0.000
Sm -1.984 2.477 5.665
Sm 1.984 2.477 5.665
Y 5.263 2.022 -1.558
Y 5.263 0.000 3.074
Y 0.000 3.402 2.645
Y -2.089 5.424 4.122
Y 2.089 5.424 4.122
In 0.000 0.000 5.724
```